# Si3Ni5
Calculated powder X-ray diffraction pattern, Cu Kα, 1.54184 Å. Input: DFT lattice parameters and positions (PBE).
Lines closer than 0.1° are merged.

Crystal structure
Lattice parameters (Å, degrees): 6.5816 6.5650 8.5841 49.32 49.15 81.53
Atoms (fractional coordinates):
Si1 0.1553 0.1553 0.3447
Si2 0.1633 0.8364 0.1636
Si3 0.3368 0.6632 0.6632
Si4 0.6553 0.6553 0.8447
Si5 0.6632 0.3368 0.3368
Si6 0.8364 0.1633 0.8367
Ni1 0.1166 0.6876 0.5258
Ni2 0.1880 0.6155 0.0259
Ni3 0.2385 0.2385 0.7615
Ni4 0.3300 0.4742 0.3124
Ni5 0.4742 0.3300 0.8834
Ni6 0.6155 0.1880 0.1706
Ni7 0.6876 0.1166 0.6700
Ni8 0.7394 0.7394 0.2606
Ni9 0.8294 0.9741 0.3845
Ni10 0.9741 0.8294 0.8120

Main lines, most intense first (2θ = 10–90°):
- d 1.925, I = 100
- d 2.153, I = 67
- d 1.940, I = 53
- d 2.523, I = 35
- d 2.175, I = 32
- d 1.848, I = 22
- d 1.922, I = 21
- d 3.055, I = 21